Entry 1:
For MgV2Co2O8, DFT lattice parameters and positions (GGA+U) gives the simulated XRD peak list in this record (Cu Kα).
Intensities are scaled so that the largest is 100.

Crystal structure
```
13
Lattice="6.384 0.000 0.000 0.000 2.853 4.382 0.000 -2.853 4.382" Properties=species:S:1:pos:R:3 pbc="T T T"
Mg 0.000 0.000 0.000
V 0.000 0.000 2.749
V 3.192 0.000 0.133
Co 1.648 0.000 5.762
Co 4.736 0.000 5.762
O 0.000 -1.464 5.945
O 0.000 1.464 5.945
O 1.343 0.000 3.761
O 1.753 0.000 7.888
O 3.192 -1.431 5.538
O 3.192 1.431 5.538
O 4.631 0.000 7.888
O 5.041 0.000 3.761
```

Principal peaks in the range 2θ = 10–90°, by angle:
d_spacing  I/Imax
4.781  18
3.827  37
3.613  24
2.853  46
2.655  100
2.600  57
1.914  28
1.606  18
1.595  26
1.526  38

=====

Entry 2:
For MgV2Co2O8, DFT lattice parameters and positions (GGA+U) gives the simulated XRD peak list in this record (Cu Kα).
Intensities are scaled so that the largest is 100.

Crystal structure
```
13
Lattice="6.107 0.000 0.000 0.000 2.824 4.948 0.000 -2.824 4.948" Properties=species:S:1:pos:R:3 pbc="T T T"
Mg 0.000 0.000 0.000
V 0.000 0.000 7.294
V 3.053 0.000 5.250
Co 1.799 0.000 2.198
Co 4.308 0.000 2.198
O 0.000 -1.595 6.468
O 0.000 1.595 6.468
O 1.294 0.000 8.388
O 1.702 0.000 4.190
O 3.053 -1.479 6.300
O 3.053 1.479 6.300
O 4.404 0.000 4.190
O 4.813 0.000 8.388
```

Principal peaks in the range 2θ = 10–90°, by angle:
d_spacing  I/Imax
4.948  60
4.906  24
3.825  100
2.849  29
2.824  57
2.594  91
2.582  46
1.861  24
1.593  32
1.581  28

=====

Entry 3:
For MgV2Co2O8, DFT lattice parameters and positions (GGA+U) gives the simulated XRD peak list in this record (Cu Kα).
Intensities are scaled so that the largest is 100.

Crystal structure
```
13
Lattice="5.016 -3.018 0.000 5.016 3.018 0.000 -3.212 0.000 4.896" Properties=species:S:1:pos:R:3 pbc="T T T"
Mg 0.000 0.000 0.000
V 3.387 0.000 0.598
V 3.434 0.000 4.299
Co 0.902 1.509 2.448
Co 0.902 -1.509 2.448
O 1.662 0.000 1.231
O 0.169 0.000 3.750
O 4.228 1.408 1.155
O 2.593 1.408 3.741
O 4.228 -1.408 1.155
O 2.593 -1.408 3.741
O 6.652 0.000 1.147
O 5.159 0.000 3.666
```

Principal peaks in the range 2θ = 10–90°, by angle:
d_spacing  I/Imax
4.707  26
4.195  26
2.925  71
2.568  100
2.540  60
2.484  36
2.099  34
1.723  27
1.508  45
1.462  40

=====

Entry 4:
For MgV2Co2O8, DFT lattice parameters and positions (GGA+U) gives the simulated XRD peak list in this record (Cu Kα).
Intensities are scaled so that the largest is 100.

Crystal structure
```
13
Lattice="5.251 -2.881 0.000 5.251 2.881 0.000 -3.205 0.000 5.145" Properties=species:S:1:pos:R:3 pbc="T T T"
Mg 0.000 0.000 0.000
V 0.077 0.000 2.483
V 7.220 0.000 2.662
Co 5.251 0.000 0.000
Co 3.648 0.000 2.572
O 2.741 1.522 3.660
O 1.558 0.000 1.646
O 4.556 1.522 1.485
O 0.318 0.000 4.168
O 6.979 0.000 0.977
O 2.741 -1.522 3.660
O 5.739 0.000 3.499
O 4.556 -1.522 1.485
```

Principal peaks in the range 2θ = 10–90°, by angle:
d_spacing  I/Imax
5.145  63
4.879  51
4.457  62
2.988  60
2.881  100
2.641  77
2.531  63
2.086  50
1.919  61
1.494  43

=====

Entry 5:
For Mg2CoWO6, DFT lattice parameters and positions (GGA+U) gives the simulated XRD peak list in this record (Cu Kα).
Intensities are scaled so that the largest is 100.

Crystal structure
```
20
Lattice="5.205 0.000 0.000 -0.033 5.571 0.000 -0.006 -0.716 7.596" Properties=species:S:1:pos:R:3 pbc="T T T"
Mg 0.000 0.000 0.000
Mg 5.201 -0.336 3.783
Mg 2.575 2.082 7.577
Mg 2.581 2.425 3.795
Co -0.011 3.089 1.603
Co 2.603 -0.107 5.420
W -0.023 2.810 5.330
W 2.602 0.387 1.537
O 0.690 2.809 7.114
O 0.902 5.063 1.930
O 0.931 1.271 4.689
O 1.500 3.919 4.650
O 1.800 2.169 1.936
O 1.855 0.040 7.308
O 3.308 0.384 3.320
O 3.513 4.410 0.897
O 3.523 1.927 5.735
O 4.124 1.493 0.861
O 4.395 4.607 5.738
O 4.439 3.185 3.513
```

Principal peaks in the range 2θ = 10–90°, by angle:
d_spacing  I/Imax
4.694  29
4.293  69
3.802  100
3.784  50
2.774  99
2.605  51
2.597  25
2.278  23
2.146  24
1.745  32

=====

Entry 6:
For Mg2CoWO6, DFT lattice parameters and positions (GGA+U) gives the simulated XRD peak list in this record (Cu Kα).
Intensities are scaled so that the largest is 100.

Crystal structure
```
20
Lattice="5.181 0.000 0.000 0.000 5.328 0.000 -5.144 0.000 7.787" Properties=species:S:1:pos:R:3 pbc="T T T"
Mg -0.021 0.256 1.796
Mg -2.593 2.408 5.689
Mg 2.630 2.920 2.098
Mg 0.058 5.072 5.991
Co -2.572 0.000 3.893
Co 0.000 2.664 0.000
W 2.591 0.000 0.000
W 0.018 2.664 3.893
O -4.197 0.946 7.402
O -1.625 1.718 3.509
O -3.422 3.728 7.074
O -0.850 4.265 3.181
O -1.881 0.464 5.993
O 0.691 2.200 2.099
O -0.655 3.128 5.688
O 1.918 4.864 1.794
O 0.887 1.064 4.606
O 3.459 1.601 0.713
O 1.661 3.610 4.278
O 4.234 4.382 0.385
```

Principal peaks in the range 2θ = 10–90°, by angle:
d_spacing  I/Imax
4.397  64
4.313  46
3.893  56
3.715  100
2.692  77
2.683  71
2.664  33
2.591  30
1.857  34
1.543  32

=====

Entry 7:
For Mg2CoWO6, DFT lattice parameters and positions (GGA+U) gives the simulated XRD peak list in this record (Cu Kα).
Intensities are scaled so that the largest is 100.

Crystal structure
```
10
Lattice="5.198 0.000 0.000 -2.595 4.521 0.000 -0.006 -2.988 4.700" Properties=species:S:1:pos:R:3 pbc="T T T"
Mg 0.000 0.000 0.000
Mg -0.010 3.025 2.328
Co -0.012 0.008 4.013
W 2.593 1.512 1.823
O -1.651 2.884 0.869
O -1.083 1.498 3.132
O 0.938 1.649 0.862
O 1.809 0.206 3.122
O 3.316 0.008 0.879
O 4.445 -1.670 3.122
```

Principal peaks in the range 2θ = 10–90°, by angle:
d_spacing  I/Imax
4.700  30
4.296  70
3.815  50
3.792  100
2.778  100
2.607  52
2.599  25
1.896  27
1.742  42
1.533  24

=====

Entry 8:
For YMgCoW2O8, DFT lattice parameters and positions (GGA+U) gives the simulated XRD peak list in this record (Cu Kα).
Intensities are scaled so that the largest is 100.

Crystal structure
```
13
Lattice="5.416 0.000 0.000 -2.636 5.152 0.000 -0.072 -2.017 5.784" Properties=species:S:1:pos:R:3 pbc="T T T"
Y 0.000 0.000 0.000
Mg 0.079 4.186 1.533
Co 2.571 -1.334 4.442
W -0.034 1.183 3.761
W 2.680 1.908 2.147
O -0.858 2.719 2.600
O -0.829 1.953 5.449
O 0.715 -0.317 4.568
O 1.076 0.647 1.967
O 1.638 2.392 3.917
O 1.958 3.419 1.306
O 3.477 0.909 0.634
O 3.516 0.365 3.256
```

Principal peaks in the range 2θ = 10–90°, by angle:
d_spacing  I/Imax
4.529  67
3.405  100
3.235  56
2.860  47
2.821  44
2.708  53
2.678  47
2.652  45
1.833  37
1.771  43

=====

Entry 9:
For YMgCoW2O8, DFT lattice parameters and positions (GGA+U) gives the simulated XRD peak list in this record (Cu Kα).
Intensities are scaled so that the largest is 100.

Crystal structure
```
13
Lattice="5.286 0.000 0.000 -2.202 5.609 0.000 -0.452 -2.384 5.799" Properties=species:S:1:pos:R:3 pbc="T T T"
Y 0.000 0.000 0.000
Mg 3.488 -0.891 2.611
Co -1.293 3.971 3.229
W 0.069 1.194 3.846
W 2.549 1.963 2.014
O -0.708 -0.609 4.291
O 1.871 1.223 0.476
O 1.723 0.242 3.055
O 0.867 2.805 2.770
O 0.622 1.963 5.393
O 3.030 3.818 1.415
O 4.325 0.851 1.918
O 3.477 2.147 3.953
```

Principal peaks in the range 2θ = 10–90°, by angle:
d_spacing  I/Imax
5.799  85
5.187  55
4.902  71
4.171  49
3.394  66
3.358  100
2.880  71
2.762  52
2.594  43
2.021  50

=====

Entry 10:
For YMgCoW2O8, DFT lattice parameters and positions (GGA+U) gives the simulated XRD peak list in this record (Cu Kα).
Intensities are scaled so that the largest is 100.

Crystal structure
```
13
Lattice="5.360 0.000 0.000 -2.647 5.427 0.000 -0.240 -2.200 5.845" Properties=species:S:1:pos:R:3 pbc="T T T"
Y 0.000 0.000 0.000
Mg 2.579 0.222 5.047
Co -0.441 3.931 2.054
W -0.108 1.026 3.753
W 2.558 1.742 2.110
O 1.638 0.050 3.147
O 1.974 0.997 0.360
O 0.804 2.594 2.637
O 0.863 1.643 5.233
O 4.366 0.626 1.962
O 4.394 -0.530 4.610
O 3.385 3.383 1.030
O 3.460 2.011 4.039
```

Principal peaks in the range 2θ = 10–90°, by angle:
d_spacing  I/Imax
5.845  52
5.079  100
4.751  68
3.473  84
3.362  65
3.301  58
2.960  63
2.919  71
2.678  60
2.649  52

=====

Entry 11:
For MgZn2CoWO6, DFT lattice parameters and positions (GGA+U) gives the simulated XRD peak list in this record (Cu Kα).
Intensities are scaled so that the largest is 100.

Crystal structure
```
11
Lattice="5.417 0.000 0.000 2.618 4.906 0.000 2.216 0.180 5.101" Properties=species:S:1:pos:R:3 pbc="T T T"
Mg 0.000 0.000 0.000
Zn 5.891 2.107 1.706
Zn 8.296 3.481 3.850
Co 5.620 2.027 4.076
W 3.138 0.266 2.163
O 1.512 0.435 1.176
O 4.873 3.789 3.546
O 4.174 1.455 0.894
O 4.715 0.194 3.327
O 6.493 3.746 0.842
O 7.748 1.634 3.546
```

Principal peaks in the range 2θ = 10–90°, by angle:
d_spacing  I/Imax
5.101  53
4.376  32
4.156  79
3.599  45
2.845  59
2.770  57
2.694  100
2.667  47
2.642  35
2.295  47

=====

Entry 12:
For MgZn2CoWO6, DFT lattice parameters and positions (GGA+U) gives the simulated XRD peak list in this record (Cu Kα).
Intensities are scaled so that the largest is 100.

Crystal structure
```
11
Lattice="5.321 0.000 0.000 -2.597 4.681 0.000 -2.618 -1.570 5.184" Properties=species:S:1:pos:R:3 pbc="T T T"
Mg 0.000 0.000 0.000
Zn 0.103 3.133 2.364
Zn 2.687 1.537 0.820
Co -0.024 -0.059 3.382
W -2.569 1.501 4.661
O -3.643 2.924 3.694
O -1.505 3.148 0.839
O 0.739 1.687 0.884
O -0.956 1.728 3.659
O 3.480 -0.235 0.873
O 1.953 -0.082 3.713
```

Principal peaks in the range 2θ = 10–90°, by angle:
d_spacing  I/Imax
5.184  52
4.435  77
4.012  39
2.987  48
2.708  65
2.676  63
2.660  60
2.595  100
2.563  49
1.869  37